# Na2B5H5O12
Theoretical PXRD pattern, copper Kα. Input: a DFT-relaxed cell (PBE, the Materials Project).

```
data_Na2B5H5O12
_chemical_formula_sum 'Na4 B10 H10 O24'
_cell_length_a 6.6294
_cell_length_b 8.6291
_cell_length_c 9.6474
_cell_angle_alpha 71.72
_cell_angle_beta 76.85
_cell_angle_gamma 72.05
_space_group_name_H-M_alt 'P 1'
_space_group_IT_number 1
loop_
_space_group_symop_operation_xyz
'x,y,z'
loop_
_atom_site_label
_atom_site_type_symbol
_atom_site_fract_x
_atom_site_fract_y
_atom_site_fract_z
Na1 Na 0.0392 0.0964 0.1341
Na2 Na 0.4337 0.5859 0.6554
Na3 Na 0.5663 0.4141 0.3446
Na4 Na 0.9608 0.9036 0.8659
B1 B 0.1458 0.6657 0.3390
B2 B 0.1536 0.5372 0.1403
B3 B 0.1815 0.2564 0.7853
B4 B 0.3742 0.9533 0.8713
B5 B 0.4181 0.8421 0.2368
B6 B 0.5819 0.1579 0.7632
B7 B 0.6258 0.0467 0.1287
B8 B 0.8185 0.7436 0.2147
B9 B 0.8464 0.4628 0.8597
B10 B 0.8542 0.3343 0.6610
H1 H 0.0789 0.7533 0.5697
H2 H 0.1590 0.4874 0.5422
H3 H 0.1856 0.4164 0.9848
H4 H 0.2813 0.1966 0.5236
H5 H 0.4959 0.7034 0.9238
H6 H 0.5041 0.2966 0.0762
H7 H 0.7187 0.8034 0.4764
H8 H 0.8144 0.5836 0.0152
H9 H 0.8410 0.5126 0.4578
H10 H 0.9211 0.2467 0.4303
O1 O 0.0280 0.8121 0.6516
O2 O 0.0511 0.3663 0.8847
O3 O 0.0882 0.3016 0.6500
O4 O 0.1867 0.0789 0.8690
O5 O 0.2094 0.5907 0.4877
O6 O 0.2143 0.8230 0.2759
O7 O 0.2527 0.5446 0.2467
O8 O 0.2662 0.4277 0.0553
O9 O 0.3553 0.7915 0.9150
O10 O 0.3984 0.2855 0.7455
O11 O 0.4106 0.1711 0.4464
O12 O 0.4258 0.0112 0.1691
O13 O 0.5742 0.9888 0.8309
O14 O 0.5894 0.8289 0.5536
O15 O 0.6016 0.7145 0.2545
O16 O 0.6447 0.2085 0.0850
O17 O 0.7338 0.5723 0.9447
O18 O 0.7473 0.4554 0.7533
O19 O 0.7857 0.1770 0.7241
O20 O 0.7906 0.4093 0.5123
O21 O 0.8133 0.9211 0.1310
O22 O 0.9118 0.6984 0.3500
O23 O 0.9489 0.6337 0.1153
O24 O 0.9720 0.1879 0.3484
```

Main lines, most intense first (2θ = 10–90°):
2θ (°), I/Imax, hkl
12.8, 1000, 0 1 1
28.7, 851, 0 1 3
28.3, 515, 1 2 -1
37.9, 230, 1 3 -1
34.6, 198, 2 -1 1
26.8, 179, 0 2 -1
32.2, 174, 0 2 3
19.6, 158, 0 0 2
44.8, 129, 2 4 2
33.5, 129, -1 2 2